Theoretical powder diffraction line list of Ba2NaCu3S5 for λ = 1.5418 Å (Cu Kα), from the GGA-PBE geometry in the Materials Project.
Kinematic intensities with the Lorentz-polarization factor, no thermal factor.

Structural model:
```
data_Ba2NaCu3S5
_chemical_formula_sum 'Ba8 Na4 Cu12 S20'
_cell_length_a 16.691
_cell_length_b 5.560
_cell_length_c 10.469
_cell_angle_alpha 90.00
_cell_angle_beta 98.53
_cell_angle_gamma 90.00
_symmetry_space_group_name_H-M 'C 1 2/m 1'
_symmetry_Int_Tables_number 12
loop_
_symmetry_equiv_pos_as_xyz
'x,y,z'
'-x,-y,-z'
'-x,y,-z'
'x,-y,z'
'x+1/2,y+1/2,z'
'-x+1/2,-y+1/2,-z'
'-x+1/2,y+1/2,-z'
'x+1/2,-y+1/2,z'
loop_
_atom_site_label
_atom_site_fract_x
_atom_site_fract_y
_atom_site_fract_z
Ba1 0.042 0.000 0.210
Ba2 0.236 0.500 0.198
Na1 0.106 0.500 0.736
Cu1 0.000 0.263 0.500
Cu2 0.169 0.256 0.490
S1 0.070 0.500 0.352
S2 0.098 0.000 0.620
S3 0.124 0.191 0.970
S4 0.239 0.000 0.354
```

Principal peaks in the range 2θ = 10–90°, in order of rising 2θ:
2θ (°)	I_rel	h k l
19.26	33	1 1 1
23.47	64	3 1 -1
25.82	31	0 0 3
30.05	75	3 1 2
32.75	61	3 1 -3
34.61	56	6 0 -2
34.97	43	6 0 1
36.69	100	0 2 2
46.33	48	6 2 -1
46.44	34	6 2 0